This entry pairs a crystal structure of CaCo2Au2 with its computed powder diffractogram. Radiation: λ = 1.5418 Å (Cu Kα). Structure: a DFT-relaxed cell (PBE, Alexandria).
Neutral-atom scattering factors, no anomalous dispersion.

Peak list (12 most intense, 10° ≤ 2θ ≤ 90°, in order of falling intensity)
25.14°, d = 3.542 Å, intensity 100; 41.49°, d = 2.176 Å, intensity 71; 43.99°, d = 2.058 Å, intensity 62; 31.44°, d = 2.845 Å, intensity 37; 49.68°, d = 1.835 Å, intensity 36; 66.66°, d = 1.403 Å, intensity 35; 37.11°, d = 2.423 Å, intensity 34; 34.56°, d = 2.595 Å, intensity 31; 56.47°, d = 1.630 Å, intensity 23; 89.22°, d = 1.098 Å, intensity 17; 80.06°, d = 1.199 Å, intensity 15; 88.19°, d = 1.108 Å, intensity 12

Structure:
```
data_CaCo2Au2
_chemical_formula_sum 'Ca1 Co2 Au2'
_symmetry_space_group_name_H-M 'P 1'
_symmetry_Int_Tables_number 1
_symmetry_space_group_name_Hall 'P 1'
_cell_length_a 7.2380
_cell_length_b 7.2380
_cell_length_c 7.2380
_cell_angle_alpha 150.62
_cell_angle_beta 150.62
_cell_angle_gamma 42.03
loop_
_atom_site_label
_atom_site_type_symbol
_atom_site_fract_x
_atom_site_fract_y
_atom_site_fract_z
Ca1 Ca 0.0000 0.0000 0.0000
Co1 Co 0.2500 0.7500 0.5000
Co2 Co 0.7500 0.2500 0.5000
Au1 Au 0.3932 0.3932 0.0000
Au2 Au 0.6068 0.6068 0.0000
```

=====

This entry pairs a crystal structure of BaNpTlS4 with its computed powder diffractogram. Radiation: λ = 1.5418 Å (Cu Kα). Structure: a DFT-relaxed cell (PBE, Alexandria).
Neutral-atom scattering factors, no anomalous dispersion.

Peak list (12 most intense, 10° ≤ 2θ ≤ 90°, in order of falling intensity)
24.13°, d = 3.688 Å, intensity 100; 24.33°, d = 3.659 Å, intensity 74; 42.69°, d = 2.118 Å, intensity 47; 34.67°, d = 2.587 Å, intensity 46; 11.22°, d = 7.888 Å, intensity 29; 56.18°, d = 1.637 Å, intensity 26; 33.26°, d = 2.694 Å, intensity 24; 49.42°, d = 1.844 Å, intensity 22; 42.33°, d = 2.135 Å, intensity 21; 48.80°, d = 1.866 Å, intensity 17; 49.85°, d = 1.829 Å, intensity 16; 34.10°, d = 2.629 Å, intensity 16

Structure:
```
data_BaNpTlS4
_chemical_formula_sum 'Ba1 Np1 Tl1 S4'
_symmetry_space_group_name_H-M 'P 1'
_symmetry_Int_Tables_number 1
_symmetry_space_group_name_Hall 'P 1'
_cell_length_a 8.6956
_cell_length_b 8.6956
_cell_length_c 8.6956
_cell_angle_alpha 145.38
_cell_angle_beta 145.38
_cell_angle_gamma 49.77
loop_
_atom_site_label
_atom_site_type_symbol
_atom_site_fract_x
_atom_site_fract_y
_atom_site_fract_z
Ba1 Ba 0.0000 0.0000 0.0000
Np1 Np 0.6416 0.6416 0.0000
Tl1 Tl 0.2845 0.2845 0.0000
S1 S 0.1337 0.6337 0.5000
S2 S 0.4788 0.4788 0.0000
S3 S 0.6337 0.1337 0.5000
S4 S 0.8007 0.8007 0.0000
```

=====

This entry pairs a crystal structure of LiMo3 with its computed powder diffractogram. Radiation: λ = 1.5418 Å (Cu Kα). Structure: a DFT-relaxed cell (PBE, Alexandria).
Neutral-atom scattering factors, no anomalous dispersion.

Peak list (12 most intense, 10° ≤ 2θ ≤ 90°, in order of falling intensity)
40.26°, d = 2.240 Å, intensity 100; 41.59°, d = 2.172 Å, intensity 91; 40.38°, d = 2.234 Å, intensity 50; 41.09°, d = 2.197 Å, intensity 47; 17.12°, d = 5.178 Å, intensity 46; 73.37°, d = 1.290 Å, intensity 33; 58.97°, d = 1.566 Å, intensity 31; 19.87°, d = 4.468 Å, intensity 31; 26.35°, d = 3.383 Å, intensity 29; 74.25°, d = 1.277 Å, intensity 16; 74.42°, d = 1.275 Å, intensity 16; 59.55°, d = 1.552 Å, intensity 15

Structure:
```
data_LiMo3
_chemical_formula_sum 'Li1 Mo3'
_symmetry_space_group_name_H-M 'P 1'
_symmetry_Int_Tables_number 1
_symmetry_space_group_name_Hall 'P 1'
_cell_length_a 2.6364
_cell_length_b 4.4675
_cell_length_c 5.2400
_cell_angle_alpha 90.00
_cell_angle_beta 98.79
_cell_angle_gamma 90.00
loop_
_atom_site_label
_atom_site_type_symbol
_atom_site_fract_x
_atom_site_fract_y
_atom_site_fract_z
Li1 Li 0.0000 0.0000 0.0000
Mo1 Mo 0.2406 0.5000 0.7479
Mo2 Mo 0.5000 0.0000 0.5000
Mo3 Mo 0.7594 0.5000 0.2521
```

=====

This entry pairs a crystal structure of TiCdS with its computed powder diffractogram. Radiation: λ = 1.5418 Å (Cu Kα). Structure: a DFT-relaxed cell (PBE, Alexandria).
Neutral-atom scattering factors, no anomalous dispersion.

Peak list (12 most intense, 10° ≤ 2θ ≤ 90°, in order of falling intensity)
37.98°, d = 2.369 Å, intensity 100; 36.05°, d = 2.491 Å, intensity 46; 31.29°, d = 2.858 Å, intensity 40; 55.70°, d = 1.650 Å, intensity 28; 31.50°, d = 2.840 Å, intensity 19; 69.40°, d = 1.354 Å, intensity 15; 38.99°, d = 2.310 Å, intensity 14; 70.08°, d = 1.343 Å, intensity 14; 17.45°, d = 5.082 Å, intensity 10; 50.82°, d = 1.797 Å, intensity 10; 53.89°, d = 1.701 Å, intensity 9; 67.47°, d = 1.388 Å, intensity 9

Structure:
```
data_TiCdS
_chemical_formula_sum 'Ti4 Cd4 S4'
_symmetry_space_group_name_H-M 'P 1'
_symmetry_Int_Tables_number 1
_symmetry_space_group_name_Hall 'P 1'
_cell_length_a 3.3005
_cell_length_b 3.3005
_cell_length_c 25.4094
_cell_angle_alpha 90.00
_cell_angle_beta 90.00
_cell_angle_gamma 120.00
loop_
_atom_site_label
_atom_site_type_symbol
_atom_site_fract_x
_atom_site_fract_y
_atom_site_fract_z
Ti1 Ti 0.3333 0.6667 0.1227
Ti2 Ti 0.3333 0.6667 0.6385
Ti3 Ti 0.6667 0.3333 0.3615
Ti4 Ti 0.6667 0.3333 0.8773
Cd1 Cd 0.3333 0.6667 0.2721
Cd2 Cd 0.3333 0.6667 0.4515
Cd3 Cd 0.6667 0.3333 0.5485
Cd4 Cd 0.6667 0.3333 0.7279
S1 S 0.3333 0.6667 0.8151
S2 S 0.3333 0.6667 0.9346
S3 S 0.6667 0.3333 0.0654
S4 S 0.6667 0.3333 0.1849
```

=====

This entry pairs a crystal structure of Cs4NdNp3Te8 with its computed powder diffractogram. Radiation: λ = 1.5418 Å (Cu Kα). Structure: a DFT-relaxed cell (PBE, Alexandria).
Neutral-atom scattering factors, no anomalous dispersion.

Peak list (12 most intense, 10° ≤ 2θ ≤ 90°, in order of falling intensity)
25.79°, d = 3.454 Å, intensity 100; 38.65°, d = 2.329 Å, intensity 38; 34.89°, d = 2.572 Å, intensity 22; 47.10°, d = 1.930 Å, intensity 13; 53.05°, d = 1.726 Å, intensity 13; 32.28°, d = 2.773 Å, intensity 13; 34.82°, d = 2.577 Å, intensity 11; 62.42°, d = 1.488 Å, intensity 11; 67.57°, d = 1.386 Å, intensity 10; 43.47°, d = 2.082 Å, intensity 8; 57.25°, d = 1.609 Å, intensity 8; 62.56°, d = 1.485 Å, intensity 8

Structure:
```
data_Cs4NdNp3Te8
_chemical_formula_sum 'Cs4 Nd1 Np3 Te8'
_symmetry_space_group_name_H-M 'P 1'
_symmetry_Int_Tables_number 1
_symmetry_space_group_name_Hall 'P 1'
_cell_length_a 9.3252
_cell_length_b 9.3252
_cell_length_c 10.4179
_cell_angle_alpha 116.69
_cell_angle_beta 116.69
_cell_angle_gamma 59.84
loop_
_atom_site_label
_atom_site_type_symbol
_atom_site_fract_x
_atom_site_fract_y
_atom_site_fract_z
Cs1 Cs 0.0000 0.0000 0.0000
Cs2 Cs 0.0000 0.5000 0.0000
Cs3 Cs 0.5000 0.0000 0.0000
Cs4 Cs 0.5000 0.5000 0.0000
Nd1 Nd 0.0000 0.0000 0.5000
Np1 Np 0.0000 0.5000 0.5000
Np2 Np 0.5000 0.0000 0.5000
Np3 Np 0.5000 0.5000 0.5000
Te1 Te 0.2323 0.2323 0.6915
Te2 Te 0.2323 0.7282 0.6931
Te3 Te 0.2697 0.2697 0.3104
Te4 Te 0.2718 0.7677 0.3069
Te5 Te 0.7282 0.2323 0.6931
Te6 Te 0.7303 0.7303 0.6896
Te7 Te 0.7677 0.2718 0.3069
Te8 Te 0.7677 0.7677 0.3085
```

=====

This entry pairs a crystal structure of Ca2OsN3 with its computed powder diffractogram. Radiation: λ = 1.5418 Å (Cu Kα). Structure: a DFT-relaxed cell (PBE, Alexandria).
Neutral-atom scattering factors, no anomalous dispersion.

Peak list (12 most intense, 10° ≤ 2θ ≤ 90°, in order of falling intensity)
23.24°, d = 3.828 Å, intensity 100; 33.12°, d = 2.705 Å, intensity 99; 16.39°, d = 5.407 Å, intensity 75; 32.07°, d = 2.791 Å, intensity 44; 34.87°, d = 2.573 Å, intensity 38; 29.68°, d = 3.010 Å, intensity 21; 47.55°, d = 1.912 Å, intensity 21; 44.26°, d = 2.046 Å, intensity 19; 57.84°, d = 1.594 Å, intensity 18; 67.08°, d = 1.395 Å, intensity 18; 36.22°, d = 2.480 Å, intensity 16; 56.43°, d = 1.631 Å, intensity 16

Structure:
```
data_Ca2OsN3
_chemical_formula_sum 'Ca8 Os4 N12'
_symmetry_space_group_name_H-M 'P 1'
_symmetry_Int_Tables_number 1
_symmetry_space_group_name_Hall 'P 1'
_cell_length_a 6.0847
_cell_length_b 6.0847
_cell_length_c 12.0384
_cell_angle_alpha 90.00
_cell_angle_beta 90.00
_cell_angle_gamma 125.40
loop_
_atom_site_label
_atom_site_type_symbol
_atom_site_fract_x
_atom_site_fract_y
_atom_site_fract_z
Ca1 Ca 0.0489 0.9511 0.8594
Ca2 Ca 0.1373 0.8627 0.4234
Ca3 Ca 0.3627 0.6373 0.9234
Ca4 Ca 0.4511 0.5489 0.3594
Ca5 Ca 0.5489 0.4511 0.6406
Ca6 Ca 0.6373 0.3627 0.0766
Ca7 Ca 0.8627 0.1373 0.5766
Ca8 Ca 0.9511 0.0489 0.1406
Os1 Os 0.2443 0.7557 0.6550
Os2 Os 0.2557 0.7443 0.1550
Os3 Os 0.7443 0.2557 0.8450
Os4 Os 0.7557 0.2443 0.3450
N1 N 0.0422 0.4578 0.7500
N2 N 0.0695 0.9305 0.6351
N3 N 0.1542 0.8458 0.0275
N4 N 0.3458 0.6542 0.5275
N5 N 0.4305 0.5695 0.1351
N6 N 0.4578 0.0422 0.2500
N7 N 0.5422 0.9578 0.7500
N8 N 0.5695 0.4305 0.8649
N9 N 0.6542 0.3458 0.4725
N10 N 0.8458 0.1542 0.9725
N11 N 0.9305 0.0695 0.3649
N12 N 0.9578 0.5422 0.2500
```

=====

This entry pairs a crystal structure of Er3Ni13B2 with its computed powder diffractogram. Radiation: λ = 1.5418 Å (Cu Kα). Structure: a DFT-relaxed cell (PBE, Alexandria).
Neutral-atom scattering factors, no anomalous dispersion.

Peak list (12 most intense, 10° ≤ 2θ ≤ 90°, in order of falling intensity)
44.44°, d = 2.038 Å, intensity 100; 32.37°, d = 2.765 Å, intensity 79; 42.38°, d = 2.133 Å, intensity 59; 36.48°, d = 2.463 Å, intensity 34; 71.22°, d = 1.324 Å, intensity 23; 63.09°, d = 1.474 Å, intensity 23; 77.52°, d = 1.231 Å, intensity 19; 63.66°, d = 1.462 Å, intensity 15; 67.77°, d = 1.383 Å, intensity 15; 50.24°, d = 1.816 Å, intensity 15; 86.52°, d = 1.125 Å, intensity 10; 20.82°, d = 4.266 Å, intensity 10

Structure:
```
data_Er3Ni13B2
_chemical_formula_sum 'Er3 Ni13 B2'
_symmetry_space_group_name_H-M 'P 1'
_symmetry_Int_Tables_number 1
_symmetry_space_group_name_Hall 'P 1'
_cell_length_a 4.9255
_cell_length_b 4.9255
_cell_length_c 10.8968
_cell_angle_alpha 90.00
_cell_angle_beta 90.00
_cell_angle_gamma 120.00
loop_
_atom_site_label
_atom_site_type_symbol
_atom_site_fract_x
_atom_site_fract_y
_atom_site_fract_z
Er1 Er 0.0000 0.0000 0.0000
Er2 Er 0.0000 0.0000 0.3290
Er3 Er 0.0000 0.0000 0.6710
Ni1 Ni 0.0000 0.5000 0.1333
Ni2 Ni 0.0000 0.5000 0.5000
Ni3 Ni 0.0000 0.5000 0.8667
Ni4 Ni 0.3333 0.6667 0.3192
Ni5 Ni 0.3333 0.6667 0.6808
Ni6 Ni 0.5000 0.0000 0.1333
Ni7 Ni 0.5000 0.0000 0.5000
Ni8 Ni 0.5000 0.0000 0.8667
Ni9 Ni 0.5000 0.5000 0.1333
Ni10 Ni 0.5000 0.5000 0.5000
Ni11 Ni 0.5000 0.5000 0.8667
Ni12 Ni 0.6667 0.3333 0.3192
Ni13 Ni 0.6667 0.3333 0.6808
B1 B 0.3333 0.6667 0.0000
B2 B 0.6667 0.3333 0.0000
```

=====

This entry pairs a crystal structure of KNb4Br7 with its computed powder diffractogram. Radiation: λ = 1.5418 Å (Cu Kα). Structure: a DFT-relaxed cell (PBE, Alexandria).
Neutral-atom scattering factors, no anomalous dispersion.

Peak list (12 most intense, 10° ≤ 2θ ≤ 90°, in order of falling intensity)
11.42°, d = 7.747 Å, intensity 100; 11.02°, d = 8.030 Å, intensity 66; 38.12°, d = 2.361 Å, intensity 32; 26.26°, d = 3.394 Å, intensity 24; 27.63°, d = 3.229 Å, intensity 18; 39.67°, d = 2.272 Å, intensity 18; 36.21°, d = 2.481 Å, intensity 17; 30.11°, d = 2.968 Å, intensity 17; 14.26°, d = 6.209 Å, intensity 16; 33.52°, d = 2.673 Å, intensity 16; 31.45°, d = 2.845 Å, intensity 14; 45.13°, d = 2.009 Å, intensity 14

Structure:
```
data_KNb4Br7
_chemical_formula_sum 'K2 Nb8 Br14'
_symmetry_space_group_name_H-M 'P 1'
_symmetry_Int_Tables_number 1
_symmetry_space_group_name_Hall 'P 1'
_cell_length_a 4.7316
_cell_length_b 8.7128
_cell_length_c 18.6827
_cell_angle_alpha 87.29
_cell_angle_beta 86.46
_cell_angle_gamma 89.41
loop_
_atom_site_label
_atom_site_type_symbol
_atom_site_fract_x
_atom_site_fract_y
_atom_site_fract_z
K1 K 0.1640 0.4718 0.2866
K2 K 0.8360 0.5282 0.7134
Nb1 Nb 0.2664 0.0654 0.4619
Nb2 Nb 0.2723 0.6253 0.9819
Nb3 Nb 0.2798 0.0261 0.6149
Nb4 Nb 0.2869 0.3715 0.9269
Nb5 Nb 0.7131 0.6285 0.0731
Nb6 Nb 0.7202 0.9739 0.3851
Nb7 Nb 0.7277 0.3747 0.0181
Nb8 Nb 0.7336 0.9346 0.5381
Br1 Br 0.0767 0.7846 0.4438
Br2 Br 0.2043 0.7264 0.1222
Br3 Br 0.2105 0.0697 0.3104
Br4 Br 0.2414 0.1648 0.0349
Br5 Br 0.3026 0.6187 0.8359
Br6 Br 0.3453 0.2672 0.6951
Br7 Br 0.3814 0.7120 0.5978
Br8 Br 0.6186 0.2880 0.4022
Br9 Br 0.6547 0.7328 0.3049
Br10 Br 0.6974 0.3813 0.1641
Br11 Br 0.7586 0.8352 0.9651
Br12 Br 0.7895 0.9303 0.6896
Br13 Br 0.7957 0.2736 0.8778
Br14 Br 0.9233 0.2154 0.5562
```

=====

Repeat the first record exactly.
This entry pairs a crystal structure of CaCo2Au2 with its computed powder diffractogram. Radiation: λ = 1.5418 Å (Cu Kα). Structure: a DFT-relaxed cell (PBE, Alexandria).
Neutral-atom scattering factors, no anomalous dispersion.

Peak list (12 most intense, 10° ≤ 2θ ≤ 90°, in order of falling intensity)
25.14°, d = 3.542 Å, intensity 100; 41.49°, d = 2.176 Å, intensity 71; 43.99°, d = 2.058 Å, intensity 62; 31.44°, d = 2.845 Å, intensity 37; 49.68°, d = 1.835 Å, intensity 36; 66.66°, d = 1.403 Å, intensity 35; 37.11°, d = 2.423 Å, intensity 34; 34.56°, d = 2.595 Å, intensity 31; 56.47°, d = 1.630 Å, intensity 23; 89.22°, d = 1.098 Å, intensity 17; 80.06°, d = 1.199 Å, intensity 15; 88.19°, d = 1.108 Å, intensity 12

Structure:
```
data_CaCo2Au2
_chemical_formula_sum 'Ca1 Co2 Au2'
_symmetry_space_group_name_H-M 'P 1'
_symmetry_Int_Tables_number 1
_symmetry_space_group_name_Hall 'P 1'
_cell_length_a 7.2380
_cell_length_b 7.2380
_cell_length_c 7.2380
_cell_angle_alpha 150.62
_cell_angle_beta 150.62
_cell_angle_gamma 42.03
loop_
_atom_site_label
_atom_site_type_symbol
_atom_site_fract_x
_atom_site_fract_y
_atom_site_fract_z
Ca1 Ca 0.0000 0.0000 0.0000
Co1 Co 0.2500 0.7500 0.5000
Co2 Co 0.7500 0.2500 0.5000
Au1 Au 0.3932 0.3932 0.0000
Au2 Au 0.6068 0.6068 0.0000
```